(1)
Calculated XRD peak list of LaNdP2Os2O2 for copper Kα, from a crystal structure in OQMD, relaxed with GGA-PBE.
Intensities are scaled so that the largest is 100.

Peak list (6 most intense, 10° ≤ 2θ ≤ 80°, by angle)
d/Å, Rel. int.
8.338, 63
2.906, 60
2.710, 100
2.362, 71
2.027, 53
1.686, 54

Structure:
a = 4.053 Å, b = 4.053 Å, c = 8.338 Å
α = 90.00°, β = 90.00°, γ = 90.00°
Space group P4mm (No. 99)
One atom of each set of equivalent atoms:
La 0.000 0.000 0.000 (multiplicity 1)
Nd 0.500 0.500 0.713 (multiplicity 1)
P 0.000 0.000 0.503 (multiplicity 1)
P 0.500 0.500 0.215 (multiplicity 1)
Os 0.000 0.500 0.360 (multiplicity 2)
O 0.000 0.500 0.854 (multiplicity 2)


(2)
Calculated XRD peak list of DyErTm2In4 for copper Kα, from a crystal structure in OQMD, relaxed with GGA-PBE.
Intensities are scaled so that the largest is 100.

Peak list (6 most intense, 10° ≤ 2θ ≤ 80°, by angle)
d/Å, Rel. int.
3.074, 28
2.928, 100
2.721, 87
2.447, 36
2.346, 32
2.279, 45

Structure:
a = 7.002 Å, b = 4.557 Å, c = 13.685 Å
α = 90.00°, β = 90.00°, γ = 90.00°
Space group Amm2 (No. 38)
One atom of each set of equivalent atoms:
Dy 0.000 0.000 0.000 (multiplicity 2)
Er 0.500 0.000 0.099 (multiplicity 2)
Tm 0.000 0.000 0.272 (multiplicity 2)
Tm 0.500 0.000 0.828 (multiplicity 2)
In 0.208 0.000 0.656 (multiplicity 4)
In 0.293 0.000 0.444 (multiplicity 4)